Structure and simulated powder diffractogram of RbCr2FeO8 (a DFT-relaxed cell (GGA+U, Alexandria); Cu Kα (λ = 1.5418 Å)).

Principal peaks in the range 10° ≤ 2θ ≤ 90°, in order of rising 2θ:
hkl, 2θ/deg, d/Å, I (rel.)
2 1 1, 22.22, 4.001, 25
4 0 0, 23.56, 3.776, 19
4 0 1, 25.57, 3.483, 25
3 1 1, 25.88, 3.443, 13
1 1 2, 26.15, 3.407, 21
2 1 2, 28.12, 3.174, 100
1 0 3, 30.31, 2.949, 10
2 0 3, 32.02, 2.795, 10
0 2 0, 32.36, 2.767, 26
6 1 0, 39.33, 2.291, 16
3 0 4, 43.98, 2.059, 9
2 3 2, 55.15, 1.665, 13

Structural model:
Cell: 15.104 5.534 9.026 Å, 90.00 90.00 90.00°
Element x y z (fractional)
Rb 0.117 0.250 0.053
Rb 0.383 0.750 0.553
Rb 0.617 0.250 0.447
Rb 0.883 0.750 0.947
Cr 0.061 0.750 0.316
Cr 0.168 0.750 0.750
Cr 0.332 0.250 0.250
Cr 0.439 0.250 0.816
Cr 0.561 0.750 0.184
Cr 0.668 0.750 0.750
Cr 0.832 0.250 0.250
Cr 0.939 0.250 0.684
Fe 0.156 0.250 0.506
Fe 0.344 0.750 0.006
Fe 0.656 0.250 0.994
Fe 0.844 0.750 0.494
O 0.034 0.250 0.589
O 0.041 0.750 0.139
O 0.063 0.750 0.783
O 0.121 0.502 0.357
O 0.121 0.998 0.357
O 0.196 0.504 0.652
O 0.196 0.996 0.652
O 0.221 0.750 0.915
O 0.279 0.250 0.415
O 0.304 0.004 0.152
O 0.304 0.496 0.152
O 0.379 0.002 0.857
O 0.379 0.498 0.857
O 0.437 0.250 0.283
O 0.459 0.250 0.639
O 0.466 0.750 0.089
O 0.534 0.250 0.911
O 0.541 0.750 0.361
O 0.563 0.750 0.717
O 0.621 0.502 0.143
O 0.621 0.998 0.143
O 0.696 0.504 0.848
O 0.696 0.996 0.848
O 0.721 0.750 0.585
O 0.779 0.250 0.085
O 0.804 0.004 0.348
O 0.804 0.496 0.348
O 0.879 0.002 0.643
O 0.879 0.498 0.643
O 0.937 0.250 0.217
O 0.959 0.250 0.861
O 0.966 0.750 0.411